Diffraction record for Na5B7C3. The powder XRD pattern is computed, not measured: it uses a cell relaxed with PBE and copper Kα.

Structural model:
```
Na5B7C3
1.0
8.952 -1.415 0.000
8.952 1.415 0.000
-5.303 0.000 12.308
Na B C
10 14 6
direct
0.000 0.000 0.000 Na
0.001 0.001 0.494 Na
0.201 0.201 0.395 Na
0.204 0.204 0.897 Na
0.400 0.400 0.797 Na
0.402 0.402 0.296 Na
0.600 0.600 0.199 Na
0.602 0.602 0.695 Na
0.801 0.801 0.594 Na
0.802 0.802 0.098 Na
0.035 0.035 0.816 B
0.041 0.041 0.324 B
0.171 0.171 0.088 B
0.229 0.229 0.699 B
0.360 0.360 0.463 B
0.429 0.429 0.598 B
0.431 0.431 0.107 B
0.579 0.579 0.904 B
0.636 0.636 0.512 B
0.765 0.765 0.275 B
0.769 0.769 0.781 B
0.837 0.837 0.918 B
0.971 0.971 0.186 B
0.972 0.972 0.686 B
0.167 0.167 0.575 C
0.234 0.234 0.212 C
0.368 0.368 0.982 C
0.572 0.572 0.385 C
0.639 0.639 0.023 C
0.829 0.829 0.401 C
```

Top 10 peaks for 10 to 90 degrees two-theta, in order of rising 2θ:
2θ (°)	Rel. int.
34.9	8
36.3	12
41.0	36
42.1	100
56.8	7
63.5	12
76.9	6
79.3	6
80.7	7
81.5	6

Diffraction record for Li2YSnO4. The powder XRD pattern is computed, not measured: it uses a cell relaxed with PBE and copper Kα.

Structural model:
```
Li2YSnO4
1.0
4.487 0.000 0.000
0.000 4.487 0.000
0.000 0.000 10.065
Li Y Sn O
4 2 2 8
direct
0.000 0.000 0.000 Li
0.000 0.500 0.250 Li
0.500 0.000 0.750 Li
0.500 0.500 0.500 Li
0.000 0.500 0.750 Y
0.500 0.000 0.250 Y
0.000 0.000 0.500 Sn
0.500 0.500 0.000 Sn
0.000 0.000 0.268 O
0.000 0.000 0.732 O
0.000 0.500 0.516 O
0.000 0.500 0.984 O
0.500 0.000 0.016 O
0.500 0.000 0.484 O
0.500 0.500 0.232 O
0.500 0.500 0.768 O
```

Top 10 peaks for 10 to 90 degrees two-theta, in order of rising 2θ:
2θ (°)	Rel. int.
21.7	100
33.4	62
35.7	25
40.2	37
46.1	28
49.6	14
53.2	14
54.8	27
68.7	15
70.1	13

Diffraction record for Cu2TePd4. The powder XRD pattern is computed, not measured: it uses a cell relaxed with PBE and copper Kα.

Structural model:
```
Cu2TePd4
1.0
-3.999 3.999 3.586
3.999 -3.999 3.586
3.999 3.999 -3.586
Cu Te Pd
4 2 8
direct
0.375 0.025 0.150 Cu
0.775 0.125 0.150 Cu
0.875 0.225 0.850 Cu
0.975 0.625 0.850 Cu
0.250 0.750 0.500 Te
0.500 0.500 0.000 Te
0.104 0.368 0.608 Pd
0.118 0.010 0.764 Pd
0.246 0.354 0.236 Pd
0.504 0.240 0.608 Pd
0.632 0.896 0.392 Pd
0.646 0.754 0.764 Pd
0.760 0.496 0.392 Pd
0.990 0.882 0.236 Pd
```

Top 10 peaks for 10 to 90 degrees two-theta, in order of rising 2θ:
2θ (°)	Rel. int.
15.7	15
35.5	17
35.9	87
39.3	80
40.6	16
42.7	84
43.8	100
48.6	21
63.6	15
75.0	18

Diffraction record for Tl2RePb2O6. The powder XRD pattern is computed, not measured: it uses a cell relaxed with PBE and copper Kα.

Structural model:
```
Tl2RePb2O6
1.0
3.250 -5.120 0.000
3.250 5.120 0.000
-1.545 0.000 6.358
Tl Re Pb O
2 1 2 6
direct
0.171 0.829 0.000 Tl
0.829 0.171 0.000 Tl
0.000 0.000 0.500 Re
0.335 0.665 0.500 Pb
0.665 0.335 0.500 Pb
0.038 0.319 0.655 O
0.169 0.169 0.292 O
0.319 0.038 0.655 O
0.681 0.962 0.345 O
0.831 0.831 0.708 O
0.962 0.681 0.345 O
```

Top 10 peaks for 10 to 90 degrees two-theta, in order of rising 2θ:
2θ (°)	Rel. int.
13.9	23
28.1	67
28.3	65
31.5	93
34.4	100
35.0	50
49.8	33
50.0	35
55.8	24
56.1	23

Copy entry 1 word for word.
Diffraction record for Na5B7C3. The powder XRD pattern is computed, not measured: it uses a cell relaxed with PBE and copper Kα.

Structural model:
```
Na5B7C3
1.0
8.952 -1.415 0.000
8.952 1.415 0.000
-5.303 0.000 12.308
Na B C
10 14 6
direct
0.000 0.000 0.000 Na
0.001 0.001 0.494 Na
0.201 0.201 0.395 Na
0.204 0.204 0.897 Na
0.400 0.400 0.797 Na
0.402 0.402 0.296 Na
0.600 0.600 0.199 Na
0.602 0.602 0.695 Na
0.801 0.801 0.594 Na
0.802 0.802 0.098 Na
0.035 0.035 0.816 B
0.041 0.041 0.324 B
0.171 0.171 0.088 B
0.229 0.229 0.699 B
0.360 0.360 0.463 B
0.429 0.429 0.598 B
0.431 0.431 0.107 B
0.579 0.579 0.904 B
0.636 0.636 0.512 B
0.765 0.765 0.275 B
0.769 0.769 0.781 B
0.837 0.837 0.918 B
0.971 0.971 0.186 B
0.972 0.972 0.686 B
0.167 0.167 0.575 C
0.234 0.234 0.212 C
0.368 0.368 0.982 C
0.572 0.572 0.385 C
0.639 0.639 0.023 C
0.829 0.829 0.401 C
```

Top 10 peaks for 10 to 90 degrees two-theta, in order of rising 2θ:
2θ (°)	Rel. int.
34.9	8
36.3	12
41.0	36
42.1	100
56.8	7
63.5	12
76.9	6
79.3	6
80.7	7
81.5	6